This entry pairs a crystal structure of Y2AsW with its calculated powder X-ray diffraction pattern. Radiation: copper Kα. Structure: a DFT-relaxed cell (GGA-PBE, Alexandria).
Lines closer than 0.1° are merged.

Largest 10 diffraction maxima, by intensity, 5° ≤ 2θ ≤ 70°:
d (Å)  I (rel.)
2.819  100.0
2.271  79.9
2.286  42.8
2.683  36.3
5.418  36.0
2.130  29.7
2.004  24.7
3.760  23.6
1.507  23.0
1.460  17.5

a = 4.261 Å, b = 5.776 Å, c = 5.776 Å
α = 40.61°, β = 90.00°, γ = 90.00°
Fractional coordinates of all 4 atoms:
Y: 0.000 0.000 0.000
Y: 0.500 0.287 0.287
As: 0.500 0.577 0.577
W: 0.000 0.717 0.717